Starting from DFT lattice parameters and positions (PBE), the XRD peak list of NiW28 was simulated for Cu Ka.

Structural model:
Unit cell a=8.541 b=8.541 c=8.541 alpha=109.47 beta=109.47 gamma=109.47
Positions (direct):
1 Ni 0.000 0.000 0.000
2 W 0.000 0.000 0.639
3 W 0.000 0.190 0.379
4 W 0.000 0.379 0.190
5 W 0.000 0.405 0.685
6 W 0.000 0.639 0.000
7 W 0.000 0.685 0.405
8 W 0.188 0.810 0.810
9 W 0.190 0.000 0.379
10 W 0.190 0.379 0.000
11 W 0.279 0.595 0.595
12 W 0.315 0.315 0.721
13 W 0.315 0.721 0.315
14 W 0.361 0.361 0.361
15 W 0.379 0.000 0.190
16 W 0.379 0.190 0.000
17 W 0.405 0.000 0.685
18 W 0.405 0.685 0.000
19 W 0.595 0.279 0.595
20 W 0.595 0.595 0.279
21 W 0.621 0.621 0.812
22 W 0.621 0.812 0.621
23 W 0.639 0.000 0.000
24 W 0.685 0.000 0.405
25 W 0.685 0.405 0.000
26 W 0.721 0.315 0.315
27 W 0.810 0.188 0.810
28 W 0.810 0.810 0.188
29 W 0.812 0.621 0.621

The 6 most intense peaks (2θ = 10–90°), by angle:
36.44 deg, I = 11
38.74 deg, I = 100
43.02 deg, I = 33
46.98 deg, I = 22
67.11 deg, I = 10
70.12 deg, I = 26